1.
Diffraction record for SnP2PbO8. The powder XRD pattern is simulated, not measured: it uses a structure optimized by DFT (PBE) and Cu Kα.
Kinematic intensities with the Lorentz-polarization factor, no thermal factor.

Crystal structure
```
data_SnP2PbO8
_chemical_formula_sum 'Sn4 P8 Pb4 O32'
_cell_length_a 4.931
_cell_length_b 15.073
_cell_length_c 10.019
_cell_angle_alpha 90.00
_cell_angle_beta 116.78
_cell_angle_gamma 90.00
_symmetry_space_group_name_H-M 'P 1 21/c 1'
_symmetry_Int_Tables_number 14
loop_
_symmetry_equiv_pos_as_xyz
'x,y,z'
'-x,-y,-z'
'-x,y+1/2,-z+1/2'
'x,-y+1/2,z+1/2'
loop_
_atom_site_label
_atom_site_fract_x
_atom_site_fract_y
_atom_site_fract_z
Sn1 0.186 0.142 0.450
P1 0.172 0.737 0.391
P2 0.447 0.523 0.203
Pb1 0.125 0.101 0.911
O1 0.017 0.679 0.917
O2 0.065 0.734 0.217
O3 0.106 0.539 0.162
O4 0.109 0.652 0.451
O5 0.371 0.005 0.127
O6 0.432 0.107 0.339
O7 0.473 0.250 0.035
O8 0.477 0.062 0.624
```

Main lines, low angle first (15° ≤ 2θ ≤ 90°):
2theta  I (rel.)  (hkl)
19.9  47  0 0 2
20.2  50  1 0 0
21.0  55  1 1 0
21.8  80  1 1 -2
26.7  100  0 3 2
26.9  97  1 3 0
27.6  84  1 3 -2
31.3  51  1 4 0
34.4  42  1 0 2
35.9  44  1 0 -4
36.5  49  2 0 -2
42.2  40  1 4 2

***

2.
Diffraction record for LuSi2Rh2. The powder XRD pattern is simulated, not measured: it uses a structure optimized by DFT (PBE) and Cu Kα.
Kinematic intensities with the Lorentz-polarization factor, no thermal factor.

Crystal structure
```
data_LuSi2Rh2
_chemical_formula_sum 'Lu2 Si4 Rh4'
_cell_length_a 4.045
_cell_length_b 4.045
_cell_length_c 9.892
_cell_angle_alpha 90.00
_cell_angle_beta 90.00
_cell_angle_gamma 90.00
_symmetry_space_group_name_H-M 'I 4/m m m'
_symmetry_Int_Tables_number 139
_symmetry_space_group_name_Hall '-I 4 2'
loop_
_atom_site_label
_atom_site_fract_x
_atom_site_fract_y
_atom_site_fract_z
Lu1 0.000 0.000 0.000
Si1 0.000 0.000 0.380
Rh1 0.000 0.500 0.250
```

Main lines, low angle first (15° ≤ 2θ ≤ 90°):
2theta  I (rel.)  (hkl)
23.8  28  1 0 1
35.1  27  1 0 3
36.3  100  1 1 2
44.8  30  2 0 0
51.4  17  1 0 5
58.2  13  2 1 3
59.0  15  2 0 4
65.3  24  2 2 0
70.5  9  2 1 5
77.0  25  3 1 2
77.1  3  0 0 8
87.6  4  3 0 5